Structure and theoretical powder diffraction line list of Li3V6Fe4Cu2O24 (a cell relaxed with GGA+U; copper Kα).

Top 8 peaks for 2θ = 10–90°, by angle:
- 2θ 11.90, I 45
- 2θ 12.37, I 47
- 2θ 27.05, I 75
- 2θ 27.33, I 39
- 2θ 27.70, I 93
- 2θ 28.25, I 45
- 2θ 29.12, I 100
- 2θ 54.45, I 53

Atomic structure:
```
data_Li3V6Fe4Cu2O24
_chemical_formula_sum 'Li3 V6 Fe4 Cu2 O24'
_space_group_name_H-M_alt 'P -1'
_space_group_IT_number 2
_cell_length_a 6.770
_cell_length_b 8.198
_cell_length_c 9.978
_cell_angle_alpha 106.70
_cell_angle_beta 104.28
_cell_angle_gamma 103.08
loop_
_space_group_symop_operation_xyz
'x,y,z'
'-x,-y,-z'
loop_
_atom_site_label
_atom_site_type_symbol
_atom_site_fract_x
_atom_site_fract_y
_atom_site_fract_z
Li1 Li 0.000 0.000 0.000
Li2 Li 0.395 0.057 0.100
V1 V 0.122 0.611 0.840
V2 V 0.222 0.162 0.766
V3 V 0.408 0.232 0.380
Fe1 Fe 0.045 0.704 0.511
Fe2 Fe 0.378 0.450 0.107
Cu1 Cu 0.283 0.786 0.298
O1 O 0.005 0.215 0.665
O2 O 0.082 0.562 0.648
O3 O 0.120 0.499 0.146
O4 O 0.187 0.942 0.680
O5 O 0.195 0.835 0.935
O6 O 0.232 0.192 0.954
O7 O 0.232 0.287 0.468
O8 O 0.309 0.008 0.260
O9 O 0.328 0.530 0.923
O10 O 0.339 0.725 0.488
O11 O 0.436 0.337 0.252
O12 O 0.476 0.280 0.767
```


Structure and theoretical powder diffraction line list of Li4V2Fe3Cu3O16 (a cell relaxed with GGA+U; copper Kα).

Top 8 peaks for 2θ = 10–90°, by angle:
- 2θ 18.60, I 82
- 2θ 19.67, I 100
- 2θ 33.14, I 33
- 2θ 35.77, I 34
- 2θ 36.30, I 55
- 2θ 36.41, I 26
- 2θ 45.50, I 41
- 2θ 62.95, I 32

Atomic structure:
```
data_Li4V2Fe3Cu3O16
_chemical_formula_sum 'Li4 V2 Fe3 Cu3 O16'
_space_group_name_H-M_alt 'P 1'
_space_group_IT_number 1
_cell_length_a 5.905
_cell_length_b 5.908
_cell_length_c 9.539
_cell_angle_alpha 89.75
_cell_angle_beta 89.93
_cell_angle_gamma 60.21
loop_
_space_group_symop_operation_xyz
'x,y,z'
loop_
_atom_site_label
_atom_site_type_symbol
_atom_site_fract_x
_atom_site_fract_y
_atom_site_fract_z
Li1 Li 0.000 0.000 0.000
Li2 Li 0.008 0.997 0.496
Li3 Li 0.355 0.322 0.085
Li4 Li 0.690 0.657 0.585
V1 V 0.346 0.326 0.491
V2 V 0.680 0.660 0.990
Fe1 Fe 0.187 0.165 0.769
Fe2 Fe 0.187 0.649 0.769
Fe3 Fe 0.357 0.823 0.267
Cu1 Cu 0.665 0.169 0.773
Cu2 Cu 0.836 0.340 0.273
Cu3 Cu 0.839 0.824 0.277
O1 O 0.000 0.996 0.193
O2 O 0.007 0.998 0.688
O3 O 0.055 0.473 0.639
O4 O 0.195 0.162 0.401
O5 O 0.195 0.647 0.401
O6 O 0.343 0.329 0.882
O7 O 0.357 0.821 0.901
O8 O 0.493 0.475 0.640
O9 O 0.494 0.035 0.640
O10 O 0.528 0.954 0.138
O11 O 0.530 0.517 0.139
O12 O 0.662 0.174 0.404
O13 O 0.686 0.661 0.377
O14 O 0.841 0.344 0.901
O15 O 0.842 0.814 0.902
O16 O 0.966 0.513 0.138
```


Structure and theoretical powder diffraction line list of Li4Fe3Cu3W2O16 (a cell relaxed with GGA+U; copper Kα).

Top 8 peaks for 2θ = 10–90°, by angle:
- 2θ 18.72, I 29
- 2θ 19.19, I 70
- 2θ 19.69, I 100
- 2θ 31.79, I 28
- 2θ 34.12, I 32
- 2θ 35.36, I 28
- 2θ 35.81, I 48
- 2θ 36.34, I 31

Atomic structure:
```
data_Li4Fe3Cu3W2O16
_chemical_formula_sum 'Li8 Fe6 Cu6 W4 O32'
_space_group_name_H-M_alt 'C 1 m 1'
_space_group_IT_number 8
_cell_length_a 10.462
_cell_length_b 5.916
_cell_length_c 9.908
_cell_angle_alpha 90.00
_cell_angle_beta 93.55
_cell_angle_gamma 90.00
loop_
_space_group_symop_operation_xyz
'x,y,z'
'x,-y,z'
'x+1/2,y+1/2,z'
'x+1/2,-y+1/2,z'
loop_
_atom_site_label
_atom_site_type_symbol
_atom_site_fract_x
_atom_site_fract_y
_atom_site_fract_z
Li1 Li 0.000 0.000 0.000
Li2 Li 0.002 0.000 0.503
Li3 Li 0.158 0.500 0.930
Li4 Li 0.339 0.000 0.431
Fe1 Fe 0.090 0.254 0.234
Fe2 Fe 0.171 0.000 0.734
Cu1 Cu 0.334 0.500 0.226
Cu2 Cu 0.416 0.245 0.730
W1 W 0.175 0.500 0.504
W2 W 0.325 0.000 0.006
O1 O 0.000 0.000 0.811
O2 O 0.001 0.000 0.315
O3 O 0.024 0.500 0.363
O4 O 0.106 0.254 0.600
O5 O 0.169 0.500 0.132
O6 O 0.178 0.000 0.121
O7 O 0.242 0.275 0.373
O8 O 0.243 0.218 0.881
O9 O 0.335 0.000 0.637
O10 O 0.342 0.500 0.606
O11 O 0.424 0.238 0.099
O12 O 0.470 0.000 0.864
```


Structure and theoretical powder diffraction line list of LuFeCuO4 (a cell relaxed with GGA+U; copper Kα).

Top 8 peaks for 2θ = 10–90°, by angle:
- 2θ 11.01, I 51
- 2θ 29.65, I 100
- 2θ 33.03, I 84
- 2θ 33.46, I 39
- 2θ 34.92, I 77
- 2θ 48.21, I 44
- 2θ 52.18, I 55
- 2θ 63.42, I 36

Atomic structure:
```
data_LuFeCuO4
_chemical_formula_sum 'Lu3 Fe3 Cu3 O12'
_space_group_name_H-M_alt 'R 3 m'
_space_group_IT_number 160
_space_group_name_Hall 'R 3 -2"'
_cell_length_a 3.5062
_cell_length_b 3.5062
_cell_length_c 24.1021
_cell_angle_alpha 90.00
_cell_angle_beta 90.00
_cell_angle_gamma 120.00
loop_
_atom_site_label
_atom_site_type_symbol
_atom_site_fract_x
_atom_site_fract_y
_atom_site_fract_z
Lu1 Lu 0.0000 0.0000 0.0000
Fe1 Fe 0.0000 0.0000 0.2078
Cu1 Cu 0.0000 0.0000 0.7836
O1 O 0.0000 0.0000 0.1247
O2 O 0.0000 0.0000 0.2881
O3 O 0.0000 0.0000 0.7029
O4 O 0.0000 0.0000 0.8698
```


Structure and theoretical powder diffraction line list of MgFeCuO2 (a cell relaxed with GGA+U; copper Kα).

Top 8 peaks for 2θ = 10–90°, by angle:
- 2θ 11.75, I 43
- 2θ 33.37, I 58
- 2θ 33.45, I 42
- 2θ 34.36, I 38
- 2θ 35.77, I 66
- 2θ 36.52, I 100
- 2θ 38.06, I 77
- 2θ 58.88, I 47

Atomic structure:
```
data_MgFeCuO2
_chemical_formula_sum 'Mg1 Fe1 Cu1 O2'
_space_group_name_H-M_alt 'P 1'
_space_group_IT_number 1
_cell_length_a 3.136
_cell_length_b 3.140
_cell_length_c 7.728
_cell_angle_alpha 100.47
_cell_angle_beta 91.59
_cell_angle_gamma 118.79
loop_
_space_group_symop_operation_xyz
'x,y,z'
loop_
_atom_site_label
_atom_site_type_symbol
_atom_site_fract_x
_atom_site_fract_y
_atom_site_fract_z
Mg1 Mg 0.000 0.000 0.000
Fe1 Fe 0.773 0.562 0.330
Cu1 Cu 0.234 0.465 0.695
O1 O 0.146 0.300 0.441
O2 O 0.380 0.733 0.114
```


Structure and theoretical powder diffraction line list of MgFe5CuO8 (a cell relaxed with GGA+U; copper Kα).

Top 8 peaks for 2θ = 10–90°, by angle:
- 2θ 30.04, I 33
- 2θ 33.26, I 49
- 2θ 34.15, I 100
- 2θ 34.73, I 58
- 2θ 35.10, I 60
- 2θ 41.58, I 74
- 2θ 57.51, I 36
- 2θ 62.44, I 49

Atomic structure:
```
data_MgFe5CuO8
_chemical_formula_sum 'Mg2 Fe10 Cu2 O16'
_space_group_name_H-M_alt 'C 1 2/m 1'
_space_group_IT_number 12
_cell_length_a 10.271
_cell_length_b 6.012
_cell_length_c 6.321
_cell_angle_alpha 90.00
_cell_angle_beta 121.53
_cell_angle_gamma 90.00
loop_
_space_group_symop_operation_xyz
'x,y,z'
'-x,-y,-z'
'-x,y,-z'
'x,-y,z'
'x+1/2,y+1/2,z'
'-x+1/2,-y+1/2,-z'
'-x+1/2,y+1/2,-z'
'x+1/2,-y+1/2,z'
loop_
_atom_site_label
_atom_site_type_symbol
_atom_site_fract_x
_atom_site_fract_y
_atom_site_fract_z
Mg1 Mg 0.000 0.000 0.000
Fe1 Fe 0.000 0.500 0.500
Fe2 Fe 0.152 0.000 0.468
Fe3 Fe 0.250 0.250 0.000
Cu1 Cu 0.000 0.500 0.000
O1 O 0.016 0.240 0.763
O2 O 0.221 0.500 0.177
O3 O 0.236 0.000 0.225
```


Structure and theoretical powder diffraction line list of MgFe5CuO8 (a cell relaxed with GGA+U; copper Kα).

Top 8 peaks for 2θ = 10–90°, by angle:
- 2θ 29.80, I 76
- 2θ 33.23, I 80
- 2θ 34.00, I 52
- 2θ 34.14, I 100
- 2θ 34.47, I 94
- 2θ 41.08, I 56
- 2θ 41.71, I 52
- 2θ 61.89, I 86

Atomic structure:
```
data_MgFe5CuO8
_chemical_formula_sum 'Mg1 Fe5 Cu1 O8'
_space_group_name_H-M_alt 'P 1'
_space_group_IT_number 1
_cell_length_a 5.977
_cell_length_b 5.994
_cell_length_c 6.379
_cell_angle_alpha 117.26
_cell_angle_beta 90.61
_cell_angle_gamma 119.84
loop_
_space_group_symop_operation_xyz
'x,y,z'
loop_
_atom_site_label
_atom_site_type_symbol
_atom_site_fract_x
_atom_site_fract_y
_atom_site_fract_z
Mg1 Mg 0.000 0.000 0.000
Fe1 Fe 0.487 0.975 0.479
Fe2 Fe 0.490 0.485 0.980
Fe3 Fe 0.491 0.982 0.981
Fe4 Fe 0.826 0.664 0.526
Fe5 Fe 0.996 0.486 0.980
Cu1 Cu 0.151 0.295 0.451
O1 O 0.236 0.469 0.198
O2 O 0.242 0.961 0.204
O3 O 0.255 0.008 0.762
O4 O 0.263 0.530 0.795
O5 O 0.723 0.959 0.202
O6 O 0.724 0.443 0.167
O7 O 0.747 0.008 0.760
O8 O 0.754 0.512 0.767
```


Structure and theoretical powder diffraction line list of MgFe4CuO8 (a cell relaxed with GGA+U; copper Kα).

Top 8 peaks for 2θ = 10–90°, by angle:
- 2θ 18.12, I 35
- 2θ 29.51, I 65
- 2θ 34.37, I 54
- 2θ 34.49, I 49
- 2θ 35.13, I 100
- 2θ 35.39, I 78
- 2θ 61.23, I 41
- 2θ 61.36, I 41

Atomic structure:
```
data_MgFe4CuO8
_chemical_formula_sum 'Mg2 Fe8 Cu2 O16'
_space_group_name_H-M_alt 'C 1 2/m 1'
_space_group_IT_number 12
_cell_length_a 10.505
_cell_length_b 5.992
_cell_length_c 5.912
_cell_angle_alpha 90.00
_cell_angle_beta 124.09
_cell_angle_gamma 90.00
loop_
_space_group_symop_operation_xyz
'x,y,z'
'-x,-y,-z'
'-x,y,-z'
'x,-y,z'
'x+1/2,y+1/2,z'
'-x+1/2,-y+1/2,-z'
'-x+1/2,y+1/2,-z'
'x+1/2,-y+1/2,z'
loop_
_atom_site_label
_atom_site_type_symbol
_atom_site_fract_x
_atom_site_fract_y
_atom_site_fract_z
Mg1 Mg 0.000 0.000 0.000
Fe1 Fe 0.112 0.500 0.856
Fe2 Fe 0.250 0.250 0.500
Cu1 Cu 0.000 0.000 0.500
O1 O 0.014 0.235 0.275
O2 O 0.231 0.500 0.248
O3 O 0.243 0.000 0.255
```


Structure and theoretical powder diffraction line list of Mg14FeCuO16 (a cell relaxed with GGA+U; copper Kα).

Top 8 peaks for 2θ = 10–90°, by angle:
- 2θ 36.50, I 56
- 2θ 42.20, I 100
- 2θ 42.34, I 99
- 2θ 42.65, I 97
- 2θ 61.31, I 56
- 2θ 61.55, I 56
- 2θ 61.66, I 55
- 2θ 77.55, I 50

Atomic structure:
```
data_Mg14FeCuO16
_chemical_formula_sum 'Mg14 Fe1 Cu1 O16'
_space_group_name_H-M_alt 'P m m m'
_space_group_IT_number 47
_cell_length_a 4.240
_cell_length_b 8.539
_cell_length_c 8.567
_cell_angle_alpha 90.00
_cell_angle_beta 90.00
_cell_angle_gamma 90.00
loop_
_space_group_symop_operation_xyz
'x,y,z'
'-x,-y,-z'
'-x,-y,z'
'x,y,-z'
'x,-y,-z'
'-x,y,z'
'-x,y,-z'
'x,-y,z'
loop_
_atom_site_label
_atom_site_type_symbol
_atom_site_fract_x
_atom_site_fract_y
_atom_site_fract_z
Mg1 Mg 0.000 0.000 0.000
Mg2 Mg 0.000 0.000 0.500
Mg3 Mg 0.000 0.250 0.248
Mg4 Mg 0.500 0.000 0.249
Mg5 Mg 0.500 0.249 0.500
Mg6 Mg 0.500 0.251 0.000
Mg7 Mg 0.500 0.500 0.247
Fe1 Fe 0.000 0.500 0.500
Cu1 Cu 0.000 0.500 0.000
O1 O 0.000 0.000 0.250
O2 O 0.000 0.245 0.000
O3 O 0.000 0.245 0.500
O4 O 0.000 0.500 0.261
O5 O 0.500 0.000 0.000
O6 O 0.500 0.000 0.500
O7 O 0.500 0.251 0.250
O8 O 0.500 0.500 0.000
O9 O 0.500 0.500 0.500
```


Structure and theoretical powder diffraction line list of MgFe4Cu3O12 (a cell relaxed with GGA+U; copper Kα).

Top 8 peaks for 2θ = 10–90°, by angle:
- 2θ 16.95, I 14
- 2θ 34.22, I 100
- 2θ 34.33, I 99
- 2θ 49.26, I 50
- 2θ 61.33, I 75
- 2θ 61.55, I 25
- 2θ 82.35, I 16
- 2θ 82.53, I 16

Atomic structure:
```
data_MgFe4Cu3O12
_chemical_formula_sum 'Mg3 Fe12 Cu9 O36'
_space_group_name_H-M_alt 'R -3'
_space_group_IT_number 148
_space_group_name_Hall '-R 3'
_cell_length_a 10.4801
_cell_length_b 10.4801
_cell_length_c 6.3888
_cell_angle_alpha 90.00
_cell_angle_beta 90.00
_cell_angle_gamma 120.00
loop_
_atom_site_label
_atom_site_type_symbol
_atom_site_fract_x
_atom_site_fract_y
_atom_site_fract_z
Mg1 Mg 0.0000 0.0000 0.0000
Fe1 Fe 0.0000 0.0000 0.5000
Fe2 Fe 0.0000 0.5000 0.5000
Cu1 Cu 0.0000 0.5000 0.0000
O1 O 0.0082 0.8487 0.6837
O2 O 0.0482 0.7852 0.0946
```


Structure and theoretical powder diffraction line list of MgFeCuO2 (a cell relaxed with GGA+U; copper Kα).

Top 8 peaks for 2θ = 10–90°, by angle:
- 2θ 11.53, I 31
- 2θ 33.91, I 100
- 2θ 34.15, I 50
- 2θ 35.07, I 46
- 2θ 38.42, I 25
- 2θ 43.09, I 22
- 2θ 43.34, I 41
- 2θ 59.13, I 30

Atomic structure:
```
data_MgFeCuO2
_chemical_formula_sum 'Mg2 Fe2 Cu2 O4'
_space_group_name_H-M_alt 'C 1 m 1'
_space_group_IT_number 8
_cell_length_a 5.406
_cell_length_b 3.136
_cell_length_c 7.903
_cell_angle_alpha 90.00
_cell_angle_beta 103.78
_cell_angle_gamma 90.00
loop_
_space_group_symop_operation_xyz
'x,y,z'
'x,-y,z'
'x+1/2,y+1/2,z'
'x+1/2,-y+1/2,z'
loop_
_atom_site_label
_atom_site_type_symbol
_atom_site_fract_x
_atom_site_fract_y
_atom_site_fract_z
Mg1 Mg 0.000 0.000 0.000
Fe1 Fe 0.108 0.000 0.342
Cu1 Cu 0.065 0.500 0.702
O1 O 0.207 0.500 0.119
O2 O 0.480 0.000 0.452
```


What did the first record say?
Structure and theoretical powder diffraction line list of Li3V6Fe4Cu2O24 (a cell relaxed with GGA+U; copper Kα).

Top 8 peaks for 2θ = 10–90°, by angle:
- 2θ 11.90, I 45
- 2θ 12.37, I 47
- 2θ 27.05, I 75
- 2θ 27.33, I 39
- 2θ 27.70, I 93
- 2θ 28.25, I 45
- 2θ 29.12, I 100
- 2θ 54.45, I 53

Atomic structure:
```
data_Li3V6Fe4Cu2O24
_chemical_formula_sum 'Li3 V6 Fe4 Cu2 O24'
_space_group_name_H-M_alt 'P -1'
_space_group_IT_number 2
_cell_length_a 6.770
_cell_length_b 8.198
_cell_length_c 9.978
_cell_angle_alpha 106.70
_cell_angle_beta 104.28
_cell_angle_gamma 103.08
loop_
_space_group_symop_operation_xyz
'x,y,z'
'-x,-y,-z'
loop_
_atom_site_label
_atom_site_type_symbol
_atom_site_fract_x
_atom_site_fract_y
_atom_site_fract_z
Li1 Li 0.000 0.000 0.000
Li2 Li 0.395 0.057 0.100
V1 V 0.122 0.611 0.840
V2 V 0.222 0.162 0.766
V3 V 0.408 0.232 0.380
Fe1 Fe 0.045 0.704 0.511
Fe2 Fe 0.378 0.450 0.107
Cu1 Cu 0.283 0.786 0.298
O1 O 0.005 0.215 0.665
O2 O 0.082 0.562 0.648
O3 O 0.120 0.499 0.146
O4 O 0.187 0.942 0.680
O5 O 0.195 0.835 0.935
O6 O 0.232 0.192 0.954
O7 O 0.232 0.287 0.468
O8 O 0.309 0.008 0.260
O9 O 0.328 0.530 0.923
O10 O 0.339 0.725 0.488
O11 O 0.436 0.337 0.252
O12 O 0.476 0.280 0.767
```